For MgTl8In6, a DFT-relaxed cell (GGA-PBE, Alexandria) gives the theoretical powder diffractogram in this record (Cu Kα, 1.54184 Å).
Neutral-atom scattering factors, no anomalous dispersion.

Peak list (8 most intense, 10° ≤ 2θ ≤ 90°, by angle)
d (Å), intensity
3.518, 29
3.223, 84
2.956, 43
2.893, 100
2.813, 82
2.501, 87
2.494, 65
1.610, 38

Cell and atoms:
abc: 9.855 9.855 9.855
angles: 45.84 45.84 45.84
Fractional positions:
Mg 0.000 0.000 0.000
Tl 0.193 0.193 0.193
Tl 0.229 0.351 0.743
Tl 0.257 0.771 0.649
Tl 0.351 0.743 0.229
Tl 0.649 0.257 0.771
Tl 0.743 0.229 0.351
Tl 0.771 0.649 0.257
Tl 0.807 0.807 0.807
In 0.075 0.274 0.552
In 0.274 0.552 0.075
In 0.448 0.925 0.726
In 0.552 0.075 0.274
In 0.726 0.448 0.925
In 0.925 0.726 0.448